This entry pairs a crystal structure of Zr3As with its computed XRD peak list. Radiation: Cu Kα. Structure: a PBE-relaxed structure.
Peak positions follow from Bragg's law for the DFT cell and can differ from measured ones.

Peak list (12 most intense, 10° ≤ 2θ ≤ 80°, by angle)
hkl 3 2 1, 33.46°, I 100
hkl 3 3 0, 34.41°, I 53
hkl 1 1 2, 34.60°, I 71
hkl 4 2 0, 36.34°, I 71
hkl 1 4 1, 37.31°, I 92
hkl 2 4 1, 39.98°, I 21
hkl 2 2 2, 40.11°, I 41
hkl 1 5 0, 41.65°, I 38
hkl 3 1 2, 41.81°, I 40
hkl 5 1 1, 44.93°, I 18
hkl 3 2 3, 58.70°, I 18
hkl 7 1 2, 69.11°, I 23

Structural model:
Unit cell a=11.0580 b=11.0580 c=5.4959 alpha=90.00 beta=90.00 gamma=90.00
Fractional positions:
Zr  0.0348  0.9302  0.2388
Zr  0.0698  0.5348  0.7388
Zr  0.1106  0.2763  0.0331
Zr  0.1445  0.8328  0.7143
Zr  0.1672  0.6445  0.2143
Zr  0.2237  0.1106  0.4669
Zr  0.2763  0.3894  0.4669
Zr  0.3328  0.8555  0.2143
Zr  0.3555  0.6672  0.7143
Zr  0.3894  0.2237  0.0331
Zr  0.4302  0.9652  0.7388
Zr  0.4652  0.5698  0.2388
Zr  0.5348  0.4302  0.7612
Zr  0.5698  0.0348  0.2612
Zr  0.6106  0.7763  0.9669
Zr  0.6445  0.3328  0.2857
Zr  0.6672  0.1445  0.7857
Zr  0.7237  0.6106  0.5331
Zr  0.7763  0.8894  0.5331
Zr  0.8328  0.3555  0.7857
Zr  0.8555  0.1672  0.2857
Zr  0.8894  0.7237  0.9669
Zr  0.9302  0.4652  0.2612
Zr  0.9652  0.0698  0.7612
As  0.0438  0.2907  0.5379
As  0.2093  0.0438  0.9621
As  0.2907  0.4562  0.9621
As  0.4562  0.2093  0.5379
As  0.5438  0.7907  0.4621
As  0.7093  0.5438  0.0379
As  0.7907  0.9562  0.0379
As  0.9562  0.7093  0.4621